Simulated powder X-ray diffraction pattern of LuAuSeO for Cu Kα X-rays, from a GGA-PBE-relaxed structure.

Structure:
Cell: 5.4259 9.5840 5.5280 Å, 90.00 90.00 90.00°
Positions (direct):
Lu 0.0000 0.1105 0.2500
Lu 0.0000 0.8895 0.7500
Lu 0.5000 0.1105 0.7500
Lu 0.5000 0.8895 0.2500
Au 0.2500 0.5000 0.1671
Au 0.2500 0.5000 0.6671
Au 0.7500 0.5000 0.3329
Au 0.7500 0.5000 0.8329
Se 0.0000 0.2748 0.7500
Se 0.0000 0.7252 0.2500
Se 0.5000 0.2748 0.2500
Se 0.5000 0.7252 0.7500
O 0.2500 0.0000 0.0012
O 0.2500 0.0000 0.5012
O 0.7500 0.0000 0.4988
O 0.7500 0.0000 0.9988

Largest 8 diffraction maxima, by angle, 2θ = 10–90°:
h k l  two_theta  I/Imax
0 2 0  18.52  583
0 3 0  27.93  400
1 2 1  29.66  1000
0 0 2  32.39  592
2 1 0  34.35  820
1 3 1  36.47  979
1 1 2  37.71  410
2 2 0  38.12  455

---

Simulated powder X-ray diffraction pattern of HfZr3C4 for Cu Kα X-rays, from a GGA-PBE-relaxed structure.

Structure:
Cell: 4.6996 4.6996 4.6996 Å, 90.00 90.00 90.00°
Positions (direct):
Hf 0.0000 0.0000 0.0000
Zr 0.0000 0.5000 0.5000
Zr 0.5000 0.0000 0.5000
Zr 0.5000 0.5000 0.0000
C 0.0000 0.0000 0.5000
C 0.0000 0.5000 0.0000
C 0.5000 0.0000 0.0000
C 0.5000 0.5000 0.5000

Largest 8 diffraction maxima, by angle, 2θ = 10–90°:
h k l  two_theta  I/Imax
1 0 0  18.88  111
1 1 0  26.83  99
1 1 1  33.01  1000
2 0 0  38.30  723
2 2 0  55.29  478
3 1 1  65.92  418
2 2 2  69.26  158
4 0 0  82.01  74